Computed powder diffractogram
Compound: K2BiWO6
Radiation: λ = 1.5418 Å (Cu Kα)
Structure: a structure optimized by DFT (PBE+U)
Kinematic intensities with the Lorentz-polarization factor, no thermal factor.

Top 10 peaks for 15° ≤ 2θ ≤ 90°, sorted by position:
hkl, two_theta, I_rel
1 1 0, 21.15, 70.9
2 0 0, 30.09, 100.0
2 0 2, 37.07, 9.0
2 2 0, 43.07, 30.9
3 1 0, 48.46, 33.0
3 1 2, 53.43, 40.4
4 0 0, 62.54, 19.0
3 3 0, 66.81, 16.1
4 2 0, 70.95, 18.2
5 1 2, 86.74, 22.1

Atomic structure:
Unit cell a=5.943 b=5.943 c=8.395 alpha=90.00 beta=90.00 gamma=90.00
Space group I4/mmm (No. 139)
Unique sites:
K1 0.000 0.500 0.250 x4
Bi1 0.000 0.000 0.000 x2
W1 0.000 0.000 0.500 x2
O1 0.000 0.000 0.267 x4
O2 0.232 0.232 0.500 x8